Starting from a structure optimized by DFT (PBE), the powder X-ray diffraction pattern of BeTePd was simulated for Cu Kα X-rays.
Intensities are scaled so that the largest is 100.

Most intense lines, 2θ from 10° to 90°, in order of rising 2θ:
- (0 1 0), 2θ = 24.82°, I = 40
- (0 1 -2), 2θ = 27.83°, I = 100
- (1 0 1), 2θ = 30.87°, I = 64
- (1 0 -2), 2θ = 31.79°, I = 38
- (0 1 -3), 2θ = 33.11°, I = 44
- (0 1 3), 2θ = 39.86°, I = 33
- (-1 1 2), 2θ = 42.38°, I = 62
- (1 1 2), 2θ = 46.03°, I = 42

a = 3.1550 Å, b = 3.6457 Å, c = 10.3234 Å
α = 100.09°, β = 96.68°, γ = 90.01°
Space group P1 (No. 1)
One atom of each set of equivalent atoms:
Be (0.0000, 0.0000, 0.0000) (multiplicity 1)
Be (0.0502, 0.5688, 0.1392) (multiplicity 1)
Te (0.1455, 0.1977, 0.3978) (multiplicity 1)
Te (0.7495, 0.8808, 0.7598) (multiplicity 1)
Pd (0.4918, 0.4760, 0.9519) (multiplicity 1)
Pd (0.5594, 0.0857, 0.1731) (multiplicity 1)